This entry pairs a crystal structure of Cr2CoSe4 with its computed PXRD pattern. Radiation: Cu Kα X-rays. Structure: a DFT-relaxed cell (GGA-PBE, the Materials Project).

Crystal structure
```
data_Cr2CoSe4
_cell_length_a 12.604
_cell_length_b 3.656
_cell_length_c 6.363
_cell_angle_alpha 90.00
_cell_angle_beta 118.87
_cell_angle_gamma 90.00
_space_group_name_H-M_alt 'C 1 2/m 1'
_space_group_IT_number 12
loop_
_space_group_symop_operation_xyz
'x,y,z'
'-x,-y,-z'
'-x,y,-z'
'x,-y,z'
'x+1/2,y+1/2,z'
'-x+1/2,-y+1/2,-z'
'-x+1/2,y+1/2,-z'
'x+1/2,-y+1/2,z'
loop_
_atom_site_label
_atom_site_fract_x
_atom_site_fract_y
_atom_site_fract_z
Cr1 0.240 0.000 0.219
Co1 0.000 0.500 0.500
Se1 0.115 0.500 0.943
Se2 0.128 0.000 0.472
```

Peak list (10 most intense, 2θ = 10–90°, low angle first)
Position (°2θ), intensity, hkl
32.13, 24, 0 0 2
32.40, 100, 1 1 1
32.81, 89, 4 0 -2
42.85, 21, 2 0 2
43.20, 35, 3 1 1
43.76, 49, 5 1 -1
43.98, 16, 6 0 -2
49.71, 58, 3 1 -3
49.89, 30, 0 2 0
61.03, 18, 4 2 -2